Entry 1:
Starting from the GGA-PBE geometry in Alexandria, the powder diffraction line list of Ti2Ga7Tc2 was computed for a wavelength of 1.5418 Å.
Lines closer than 0.1° are merged.

Peak list (10 most intense, 15° ≤ 2θ ≤ 90°, in order of falling intensity)
2θ (°), intensity
41.86, 100
41.37, 80
38.45, 52
42.26, 38
22.90, 24
45.22, 23
37.76, 23
44.85, 22
36.41, 18
43.21, 17

Crystal structure
Unit cell a=6.3425 b=6.3425 c=4.9945 alpha=107.33 beta=107.33 gamma=95.18
Fractional positions:
Ti: 0.1565 0.8435 0.0000
Ti: 0.8435 0.1565 0.0000
Ga: 0.0000 0.0000 0.5000
Ga: 0.0754 0.5798 0.3236
Ga: 0.3881 0.3881 0.6407
Ga: 0.4202 0.9246 0.6764
Ga: 0.5798 0.0754 0.3236
Ga: 0.6119 0.6119 0.3593
Ga: 0.9246 0.4202 0.6764
Tc: 0.2595 0.2595 0.0261
Tc: 0.7405 0.7405 0.9739

***

Entry 2:
Starting from the GGA-PBE geometry in Alexandria, the powder diffraction line list of Sc4Pd was computed for a wavelength of 1.5418 Å.
Lines closer than 0.1° are merged.

Peak list (10 most intense, 15° ≤ 2θ ≤ 90°, in order of falling intensity)
2θ (°), intensity
34.87, 100
34.46, 89
21.22, 88
17.04, 86
30.86, 75
41.03, 50
41.32, 46
42.21, 40
43.79, 38
43.65, 37

Crystal structure
Unit cell a=6.8102 b=6.7678 c=8.3729 alpha=52.16 beta=51.70 gamma=76.14
Fractional positions:
Sc: 0.1644 0.2716 0.9841
Sc: 0.2659 0.6700 0.0856
Sc: 0.2716 0.1644 0.5800
Sc: 0.2994 0.7006 0.4499
Sc: 0.6700 0.2659 0.9784
Sc: 0.6999 0.8001 0.5494
Sc: 0.7006 0.2994 0.5501
Sc: 0.8001 0.6999 0.9506
Pd: 0.1103 0.1103 0.3897
Pd: 0.8603 0.8603 0.1397

***

Entry 3:
Starting from the GGA-PBE geometry in Alexandria, the powder diffraction line list of Si was computed for a wavelength of 1.5418 Å.
Lines closer than 0.1° are merged.

Peak list (10 most intense, 15° ≤ 2θ ≤ 90°, in order of falling intensity)
2θ (°), intensity
32.98, 100
51.39, 71
26.80, 18
55.22, 17
78.79, 12
72.43, 9
81.91, 8
58.89, 6
65.84, 6
88.09, 5

Crystal structure
Unit cell a=5.7620 b=5.7620 c=5.7620 alpha=109.47 beta=109.47 gamma=109.47
Fractional positions:
Si: 0.0000 0.2969 0.5000
Si: 0.0000 0.7031 0.5000
Si: 0.2031 0.2031 0.2031
Si: 0.2969 0.5000 0.0000
Si: 0.5000 0.0000 0.2969
Si: 0.5000 0.0000 0.7031
Si: 0.7031 0.5000 0.0000
Si: 0.7969 0.7969 0.7969